# Pr2HoCd3
Calculated PXRD pattern, Cu Kα (weighted mean of Kα1 and Kα2). Input: a PBE-relaxed structure.

Structural model:
a = 5.416 Å, b = 5.416 Å, c = 13.300 Å
α = 90.00°, β = 90.00°, γ = 120.00°
Element x y z (fractional)
Pr 0.000 0.000 0.000
Pr 0.000 0.000 0.500
Pr 0.333 0.667 0.171
Pr 0.667 0.333 0.829
Ho 0.333 0.667 0.667
Ho 0.667 0.333 0.333
Cd 0.000 0.000 0.255
Cd 0.000 0.000 0.745
Cd 0.333 0.667 0.418
Cd 0.333 0.667 0.913
Cd 0.667 0.333 0.087
Cd 0.667 0.333 0.582

Most intense lines, 2θ from 10° to 90°, by intensity:
2θ (°)	d (Å)	intensity	h k l
33.05	2.710	100	1 1 0
59.06	1.564	28	3 0 0
47.44	1.917	18	0 2 4
78.99	1.212	16	1 3 4
58.94	1.567	9	0 1 8
69.40	1.354	6	2 2 0
69.27	1.356	6	2 0 8
88.39	1.106	3	4 0 4
23.20	3.833	2	0 1 2
53.45	1.714	1	1 1 6
88.14	1.108	1	0 0 12
40.77	2.213	1	0 0 6